# ZnFe3Sn2S8
Theoretical powder diffraction line list, Cu Kα (weighted mean of Kα1 and Kα2). Input: a cell relaxed with GGA-PBE.

Atomic structure:
Cell lengths 7.1578, 7.1578, 7.1578 Å; angles 120.31, 119.19, 90.44 degrees
Sites, in units of the cell vectors:
Zn 0.0000 0.0000 0.0000
Fe 0.3846 0.1348 0.7502
Fe 0.3846 0.6345 0.2498
Fe 0.7642 0.2642 0.5000
Sn 0.3838 0.6325 0.7514
Sn 0.8811 0.6325 0.2486
S 0.1577 0.4057 0.2480
S 0.1577 0.9097 0.7520
S 0.1659 0.3799 0.7860
S 0.1771 0.8850 0.2921
S 0.5929 0.8850 0.7079
S 0.5939 0.3799 0.2140
S 0.6125 0.3512 0.7386
S 0.6125 0.8739 0.2614

Largest 6 diffraction maxima, sorted by position, 2θ from 10° to 90°:
- 15.23 deg, I = 41
- 29.03 deg, I = 98
- 29.34 deg, I = 100
- 35.34 deg, I = 59
- 46.81 deg, I = 40
- 51.04 deg, I = 89